[1]
NpNi5H7: theoretical powder diffraction line list (λ = 1.5418 Å (Cu Kα)), based on a DFT-relaxed cell (GGA-PBE, Alexandria).
Peak positions follow from Bragg's law for the DFT cell and can differ from measured ones.

Structural model:
Cell: 4.860 8.840 5.104 Å, 90.00 90.00 90.00°
Space group Imm2 (No. 44)
Symmetry-distinct sites (fractional):
Np  0.000  0.000  0.000 x2
Ni  0.000  0.500  0.100 x2
Ni  0.250  0.250  0.273 x8
H  0.000  0.000  0.420 x2
H  0.000  0.000  0.573 x2
H  0.000  0.248  0.530 x4
H  0.000  0.303  0.014 x4
H  0.000  0.500  0.397 x2

Peak list (6 most intense, 2θ = 15–90°, by angle)
d = 4.420 Å, I 45; d = 3.520 Å, I 65; d = 2.753 Å, I 70; d = 2.210 Å, I 100; d = 2.129 Å, I 79; d = 1.760 Å, I 40

[2]
Sm2GaCo5Si2: theoretical powder diffraction line list (λ = 1.5418 Å (Cu Kα)), based on a DFT-relaxed cell (GGA-PBE, Alexandria).
Peak positions follow from Bragg's law for the DFT cell and can differ from measured ones.

Structural model:
Cell: 9.523 9.523 3.293 Å, 90.00 90.00 90.00°
Space group P4/mbm (No. 127)
Symmetry-distinct sites (fractional):
Sm  0.179  0.321  0.000 x4
Ga  0.000  0.000  0.000 x2
Co  0.000  0.500  0.500 x2
Co  0.065  0.782  0.500 x8
Si  0.118  0.618  0.000 x4

Peak list (6 most intense, 2θ = 15–90°, by angle)
d = 2.605 Å, I 79; d = 2.354 Å, I 41; d = 2.310 Å, I 87; d = 2.222 Å, I 100; d = 2.060 Å, I 32; d = 1.341 Å, I 29

[3]
MgZnSeS: theoretical powder diffraction line list (λ = 1.5418 Å (Cu Kα)), based on a DFT-relaxed cell (GGA-PBE, Alexandria).
Peak positions follow from Bragg's law for the DFT cell and can differ from measured ones.

Structural model:
Cell: 4.0485 4.0485 19.7851 Å, 90.00 90.00 120.00°
Space group R3m (No. 160, hexagonal axes)
Symmetry-distinct sites (fractional):
Mg  0.0000  0.0000  0.0000 x3
Zn  0.0000  0.0000  0.5083 x3
Se  0.0000  0.0000  0.1318 x3
S  0.0000  0.0000  0.6277 x3

Peak list (6 most intense, 2θ = 15–90°, by angle)
d = 3.303 Å, I 100; d = 2.624 Å, I 14; d = 2.023 Å, I 71; d = 1.725 Å, I 32; d = 1.313 Å, I 13; d = 1.168 Å, I 17

[4]
Tm6BiTe: theoretical powder diffraction line list (λ = 1.5418 Å (Cu Kα)), based on a DFT-relaxed cell (GGA-PBE, Alexandria).
Peak positions follow from Bragg's law for the DFT cell and can differ from measured ones.

Structural model:
Cell: 5.561 5.561 14.782 Å, 90.00 90.00 90.00°
Space group I4/mmm (No. 139)
Symmetry-distinct sites (fractional):
Tm  0.000  0.000  0.248 x4
Tm  0.000  0.500  0.118 x8
Bi  0.000  0.000  0.000 x2
Te  0.000  0.000  0.500 x2

Peak list (6 most intense, 2θ = 15–90°, by angle)
d = 2.780 Å, I 55; d = 2.693 Å, I 100; d = 1.966 Å, I 21; d = 1.588 Å, I 41; d = 1.539 Å, I 18; d = 1.346 Å, I 11

[5]
CeS2O6: theoretical powder diffraction line list (λ = 1.5418 Å (Cu Kα)), based on a DFT-relaxed cell (GGA-PBE, Alexandria).
Peak positions follow from Bragg's law for the DFT cell and can differ from measured ones.

Structural model:
Cell: 5.6857 5.6857 19.6044 Å, 90.00 90.00 120.00°
Space group R3m (No. 160, hexagonal axes)
Symmetry-distinct sites (fractional):
Ce  0.0000  0.0000  0.0000 x3
S  0.0000  0.0000  0.2690 x3
S  0.0000  0.0000  0.3975 x3
O  0.1862  0.3723  0.0859 x9
O  0.1861  0.3722  0.9141 x9

Peak list (6 most intense, 2θ = 15–90°, by angle)
d = 4.776 Å, I 100; d = 4.400 Å, I 70; d = 3.474 Å, I 45; d = 3.067 Å, I 43; d = 2.843 Å, I 41; d = 2.607 Å, I 56

[6]
Ac8Ni3Ru: theoretical powder diffraction line list (λ = 1.5418 Å (Cu Kα)), based on a DFT-relaxed cell (GGA-PBE, Alexandria).
Peak positions follow from Bragg's law for the DFT cell and can differ from measured ones.

Structural model:
Cell: 8.368 8.370 8.380 Å, 62.28 62.33 62.29°
Space group P-1 (No. 2)
Symmetry-distinct sites (fractional):
Ac  0.243  0.242  0.242 x2
Ac  0.251  0.743  0.743 x2
Ac  0.256  0.751  0.257 x2
Ac  0.257  0.257  0.750 x2
Ni  0.000  0.000  0.500 x1
Ni  0.000  0.500  0.000 x1
Ni  0.500  0.000  0.000 x1
Ru  0.500  0.500  0.500 x1

Peak list (6 most intense, 2θ = 15–90°, by angle)
d = 3.515 Å, I 75; d = 3.008 Å, I 100; d = 2.166 Å, I 41; d = 2.091 Å, I 35; d = 1.820 Å, I 24; d = 1.758 Å, I 21